Diffraction record for Sr2ZnBiSb. The powder X-ray diffraction pattern is calculated, not measured: it uses the GGA-PBE geometry in OQMD and a wavelength of 1.5418 Å.

Main lines, in order of falling intensity (10° ≤ 2θ ≤ 90°):
| d_spacing | 2theta | I (rel.) |
| --- | --- | --- |
| 2.699 | 33.19 | 100 |
| 2.859 | 31.28 | 61 |
| 3.931 | 22.62 | 46 |
| 3.712 | 23.97 | 43 |
| 2.368 | 38.00 | 42 |
| 3.357 | 26.55 | 36 |
| 5.912 | 14.99 | 32 |
| 1.513 | 61.26 | 28 |
| 3.895 | 22.83 | 28 |
| 3.957 | 22.47 | 26 |

Structure:
Cell: 9.2743 9.2743 7.8630 Å, 90.00 90.00 150.42°
Atoms (fractional coordinates):
Sr: 0.0232 0.9768 0.5000
Sr: 0.2026 0.7974 0.1888
Sr: 0.7974 0.2026 0.6888
Sr: 0.9768 0.0232 0.0000
Zn: 0.4131 0.5869 0.3492
Zn: 0.5869 0.4131 0.8492
Bi: 0.1662 0.8338 0.7618
Bi: 0.8338 0.1662 0.2618
Sb: 0.4342 0.5658 0.7137
Sb: 0.5658 0.4342 0.2137